Structure and computed X-ray diffraction stick pattern of RbTl9Sb2 (a PBE-relaxed structure; Cu Kα (weighted mean of Kα1 and Kα2)).

Atomic structure:
abc: 11.0543 11.0543 3.9036
angles: 90.00 90.00 120.00
Space group P6/mmm (No. 191)
Asymmetric unit:
Rb (0.0000, 0.0000, 0.0000) x1
Tl (0.0000, 0.5000, 0.0000) x3
Tl (0.1928, 0.3856, 0.5000) x6
Sb (0.3333, 0.6667, 0.0000) x2

Largest 6 diffraction maxima, low angle first, 2θ from 15° to 90°:
(2 0 1), 2θ 29.53, I 100; (2 2 0), 2θ 32.40, I 100; (2 1 1), 2θ 33.77, I 84; (5 0 1), 2θ 53.30, I 34; (2 2 2), 2θ 57.83, I 48; (4 3 1), 2θ 63.77, I 33



Structure and computed X-ray diffraction stick pattern of Nd5Tl2Ga2 (a PBE-relaxed structure; Cu Kα (weighted mean of Kα1 and Kα2)).

Atomic structure:
abc: 16.689 8.059 7.954
angles: 90.00 90.00 90.00
Space group Cmce (No. 64)
Asymmetric unit:
Nd (0.000, 0.000, 0.000) x4
Nd (0.131, 0.190, 0.322) x16
Tl (0.221, 0.000, 0.000) x8
Ga (0.000, 0.113, 0.616) x8

Largest 6 diffraction maxima, low angle first, 2θ from 15° to 90°:
(3 1 2), 2θ 29.76, I 39; (4 2 0), 2θ 30.85, I 76; (4 0 2), 2θ 31.08, I 100; (0 2 2), 2θ 31.61, I 60; (4 2 1), 2θ 32.89, I 34; (1 3 1), 2θ 35.69, I 25



Structure and computed X-ray diffraction stick pattern of Ba2Tl2SnHg4 (a PBE-relaxed structure; Cu Kα (weighted mean of Kα1 and Kα2)).

Atomic structure:
abc: 7.438 7.438 10.583
angles: 90.00 90.00 90.00
Space group I4/mmm (No. 139)
Asymmetric unit:
Ba (0.000, 0.500, 0.250) x4
Tl (0.000, 0.000, 0.204) x4
Sn (0.000, 0.000, 0.500) x2
Hg (0.219, 0.219, 0.000) x8

Largest 6 diffraction maxima, low angle first, 2θ from 15° to 90°:
(2 0 2), 2θ 29.35, I 100; (0 0 4), 2θ 33.88, I 21; (2 2 0), 2θ 34.09, I 49; (2 1 3), 2θ 37.17, I 31; (3 0 3), 2θ 44.70, I 24; (2 2 4), 2θ 48.83, I 26



Structure and computed X-ray diffraction stick pattern of Na9Cd2Hg (a PBE-relaxed structure; Cu Kα (weighted mean of Kα1 and Kα2)).

Atomic structure:
abc: 6.904 6.982 9.390
angles: 110.96 99.15 105.27
Space group P-1 (No. 2)
Asymmetric unit:
Na (0.000, 0.000, 0.000) x1
Na (0.060, 0.454, 0.812) x2
Na (0.127, 0.124, 0.398) x2
Na (0.441, 0.479, 0.264) x2
Na (0.483, 0.105, 0.858) x2
Cd (0.216, 0.653, 0.551) x2
Hg (0.500, 0.000, 0.500) x1

Largest 6 diffraction maxima, low angle first, 2θ from 15° to 90°:
(1 -1 0), 2θ 16.21, I 100; (1 -1 1), 2θ 18.12, I 63; (-1 1 1), 2θ 20.53, I 58; (0 0 2), 2θ 21.11, I 50; (1 1 -3), 2θ 30.42, I 59; (1 2 -1), 2θ 33.30, I 46